(1)
Diffraction record for Ca2SnBi5. The XRD peak list is theoretical, not measured: it uses a cell relaxed with PBE and λ = 1.5418 Å (Cu Kα).
Peak positions follow from Bragg's law for the DFT cell and can differ from measured ones.

Main lines, low angle first (5° ≤ 2θ ≤ 70°):
hkl 2 2 1, 2θ = 31.19°, intensity 100
hkl 0 4 0, 2θ = 35.81°, intensity 17
hkl 4 0 0, 2θ = 36.35°, intensity 34
hkl 4 4 0, 2θ = 51.95°, intensity 24
hkl 2 6 1, 2θ = 61.48°, intensity 15
hkl 6 2 1, 2θ = 62.21°, intensity 29

Structural model:
a = 9.8947 Å, b = 10.0309 Å, c = 4.9379 Å
α = 90.00°, β = 90.00°, γ = 90.00°
Space group Cmmm (No. 65)
One atom of each set of equivalent atoms:
Ca  0.2491  0.0000  0.0000
Sn  0.0000  0.5000  0.5000
Bi  0.0000  0.0000  0.5000
Bi  0.0000  0.2548  0.0000
Bi  0.2500  0.2500  0.5000

***

(2)
Diffraction record for Ca2Sn3Bi. The XRD peak list is theoretical, not measured: it uses a cell relaxed with PBE and λ = 1.5418 Å (Cu Kα).
Peak positions follow from Bragg's law for the DFT cell and can differ from measured ones.

Main lines, low angle first (5° ≤ 2θ ≤ 70°):
hkl 0 0 3, 2θ = 23.26°, intensity 55
hkl 3 1 -1, 2θ = 27.79°, intensity 100
hkl 3 1 1, 2θ = 29.63°, intensity 74
hkl 3 1 2, 2θ = 33.45°, intensity 56
hkl 0 0 5, 2θ = 39.27°, intensity 40
hkl 0 2 0, 2θ = 39.39°, intensity 81

Structural model:
a = 13.8638 Å, b = 4.5774 Å, c = 11.6406 Å
α = 90.00°, β = 99.77°, γ = 90.00°
Space group C2/m (No. 12)
One atom of each set of equivalent atoms:
Ca  0.0264  0.0000  0.3400
Ca  0.2457  0.5000  0.3323
Sn  0.0208  0.5000  0.1267
Sn  0.1458  0.0000  0.8887
Sn  0.1927  0.0000  0.1372
Bi  0.1157  0.5000  0.5364

***

(3)
Diffraction record for Ca2SnBi5. The XRD peak list is theoretical, not measured: it uses a cell relaxed with PBE and λ = 1.5418 Å (Cu Kα).
Peak positions follow from Bragg's law for the DFT cell and can differ from measured ones.

Main lines, low angle first (5° ≤ 2θ ≤ 70°):
hkl 0 0 2, 2θ = 29.89°, intensity 100
hkl 2 2 0, 2θ = 33.21°, intensity 76
hkl 2 2 -2, 2θ = 33.80°, intensity 73
hkl 0 4 0, 2θ = 53.05°, intensity 27
hkl 2 2 2, 2θ = 54.81°, intensity 26
hkl 0 4 2, 2θ = 62.08°, intensity 29

Structural model:
a = 11.9626 Å, b = 6.9076 Å, c = 8.2752 Å
α = 90.00°, β = 133.74°, γ = 90.00°
Space group Cm (No. 8)
One atom of each set of equivalent atoms:
Ca  0.0000  0.0000  0.0000
Ca  0.0611  0.0000  0.5596
Sn  0.4876  0.0000  0.9874
Bi  0.0725  0.5000  0.5710
Bi  0.2792  0.2500  0.0591
Bi  0.2817  0.2497  0.5001

***

(4)
Diffraction record for Ca4Sn2Bi5. The XRD peak list is theoretical, not measured: it uses a cell relaxed with PBE and λ = 1.5418 Å (Cu Kα).
Peak positions follow from Bragg's law for the DFT cell and can differ from measured ones.

Main lines, low angle first (5° ≤ 2θ ≤ 70°):
hkl 1 4 0, 2θ = 20.56°, intensity 50
hkl 0 0 1, 2θ = 21.29°, intensity 31
hkl 1 4 1, 2θ = 29.77°, intensity 95
hkl 2 2 1, 2θ = 31.99°, intensity 71
hkl 1 5 1, 2θ = 32.62°, intensity 100
hkl 2 3 1, 2θ = 33.48°, intensity 38

Structural model:
a = 8.1167 Å, b = 20.4059 Å, c = 4.1728 Å
α = 90.00°, β = 90.00°, γ = 90.00°
Space group Pbam (No. 55)
One atom of each set of equivalent atoms:
Ca  0.0955  0.1385  0.0000
Ca  0.1926  0.4457  0.0000
Sn  0.0276  0.7041  0.0000
Bi  0.0000  0.0000  0.5000
Bi  0.1290  0.5823  0.5000
Bi  0.2292  0.8042  0.5000

***

(5)
Diffraction record for Ca3Sn2Bi3. The XRD peak list is theoretical, not measured: it uses a cell relaxed with PBE and λ = 1.5418 Å (Cu Kα).
Peak positions follow from Bragg's law for the DFT cell and can differ from measured ones.

Main lines, low angle first (5° ≤ 2θ ≤ 70°):
hkl 1 0 -1, 2θ = 18.56°, intensity 49
hkl 1 1 -1, 2θ = 19.64°, intensity 37
hkl 0 0 2, 2θ = 28.85°, intensity 56
hkl 1 4 0, 2θ = 29.78°, intensity 100
hkl 1 4 1, 2θ = 34.54°, intensity 51
hkl 2 0 1, 2θ = 36.28°, intensity 41

Structural model:
a = 6.0255 Å, b = 13.9362 Å, c = 6.3184 Å
α = 90.00°, β = 101.64°, γ = 90.00°
Space group P2_1/m (No. 11)
One atom of each set of equivalent atoms:
Ca  0.0246  0.2500  0.2792
Ca  0.3706  0.1045  0.8134
Sn  0.4529  0.6376  0.6487
Bi  0.0948  0.7500  0.2364
Bi  0.1465  0.5044  0.2597

***

(6)
Diffraction record for Sr4Ca2Bi5. The XRD peak list is theoretical, not measured: it uses a cell relaxed with PBE and λ = 1.5418 Å (Cu Kα).
Peak positions follow from Bragg's law for the DFT cell and can differ from measured ones.

Main lines, low angle first (5° ≤ 2θ ≤ 70°):
hkl 1 5 0, 2θ = 21.71°, intensity 68
hkl 1 4 1, 2θ = 22.16°, intensity 69
hkl 1 6 1, 2θ = 28.53°, intensity 92
hkl 1 3 2, 2θ = 29.63°, intensity 80
hkl 3 2 1, 2θ = 30.58°, intensity 100
hkl 2 9 1, 2θ = 42.51°, intensity 62

Structural model:
a = 10.0893 Å, b = 22.3983 Å, c = 6.9662 Å
α = 90.00°, β = 90.00°, γ = 90.00°
Space group Ibam (No. 72)
One atom of each set of equivalent atoms:
Sr  0.1193  0.1455  0.0000
Sr  0.2330  0.4454  0.0000
Ca  0.0000  0.2987  0.2500
Bi  0.0000  0.0000  0.2500
Bi  0.0820  0.4163  0.5000
Bi  0.1956  0.2040  0.5000